Starting from a structure optimized by DFT (GGA-PBE), the powder X-ray diffraction pattern of Re2Os5 was calculated for copper Kα.
Kinematic intensities with the Lorentz-polarization factor, no thermal factor.

Largest 10 diffraction maxima, by angle, 2θ = 5–70°:
| h k l | two_theta | intensity |
| --- | --- | --- |
| 0 1 1 | 35.97 | 78 |
| 1 1 -1 | 36.42 | 367 |
| 2 0 1 | 41.07 | 982 |
| 2 0 -3 | 42.29 | 107 |
| 3 0 -2 | 43.42 | 1000 |
| 0 1 2 | 45.00 | 600 |
| 1 1 2 | 52.70 | 112 |
| 3 1 0 | 59.18 | 105 |
| 0 2 0 | 68.08 | 128 |
| 3 1 -4 | 69.28 | 236 |

Structural model:
a = 6.3840 Å, b = 2.7544 Å, c = 6.6339 Å
α = 90.00°, β = 117.06°, γ = 90.00°
Sites, in units of the cell vectors:
Re 0.1323 0.0000 0.2296
Re 0.8677 0.0000 0.7704
Os 0.0000 0.5000 0.5000
Os 0.2754 0.5000 0.9531
Os 0.4201 0.0000 0.6782
Os 0.5799 0.0000 0.3218
Os 0.7246 0.5000 0.0469